Starting from the PBE geometry in Alexandria, the powder X-ray diffraction pattern of CaPr3Hg4 was calculated for Cu Kα.
Intensities are scaled so that the largest is 100.

Largest 10 diffraction maxima, in order of rising 2θ, 10° ≤ 2θ ≤ 80°:
2θ/deg  Rel. int.  h k l
32.9  100.0  1 1 2
33.1  49.2  2 0 0
46.8  9.4  0 0 4
47.5  18.1  2 2 0
58.5  19.3  2 0 4
59.0  37.9  3 1 2
68.9  11.9  2 2 4
78.0  8.4  1 1 6
79.0  8.3  3 3 2
79.1  8.2  4 2 0

Structural model:
a = 5.4144 Å, b = 5.4144 Å, c = 7.7613 Å
α = 90.00°, β = 90.00°, γ = 90.00°
Space group P4/mmm (No. 123)
Unique sites:
Ca  0.0000  0.0000  0.0000
Pr  0.0000  0.0000  0.5000
Pr  0.5000  0.5000  0.0000
Pr  0.5000  0.5000  0.5000
Hg  0.0000  0.5000  0.2459